This entry pairs a crystal structure of Sr2GaSbPd6 with its simulated powder diffraction line list. Radiation: CuKα. Structure: a structure optimized by DFT (PBE).
No peak broadening, texture or thermal motion is included.

The 12 most intense peaks (10° ≤ 2θ ≤ 80°), in order of falling intensity:
| Position (°2θ) | I/Imax |
| --- | --- |
| 16.3 | 100 |
| 40.6 | 80 |
| 31.3 | 70 |
| 37.5 | 61 |
| 41.6 | 61 |
| 30.7 | 60 |
| 40.3 | 41 |
| 31.1 | 37 |
| 30.9 | 32 |
| 41.7 | 31 |
| 45.8 | 31 |
| 37.2 | 30 |

Structural model:
Unit cell a=6.698 b=6.736 c=6.769 alpha=61.21 beta=61.49 gamma=61.39
Atoms (fractional coordinates):
Sr: 0.210 0.210 0.211
Sr: 0.790 0.790 0.789
Ga: 0.500 0.500 0.500
Sb: 0.000 0.000 0.000
Pd: 0.179 0.326 0.632
Pd: 0.328 0.633 0.177
Pd: 0.363 0.822 0.674
Pd: 0.637 0.178 0.326
Pd: 0.672 0.367 0.823
Pd: 0.821 0.674 0.368



This entry pairs a crystal structure of PmNd3Au with its simulated powder diffraction line list. Radiation: CuKα. Structure: a structure optimized by DFT (PBE).
No peak broadening, texture or thermal motion is included.

The 12 most intense peaks (10° ≤ 2θ ≤ 80°), in order of falling intensity:
| Position (°2θ) | I/Imax |
| --- | --- |
| 29.6 | 100 |
| 19.4 | 37 |
| 39.4 | 33 |
| 28.5 | 32 |
| 38.6 | 26 |
| 26.0 | 26 |
| 43.5 | 25 |
| 33.3 | 23 |
| 63.8 | 22 |
| 52.4 | 20 |
| 45.9 | 17 |
| 32.0 | 17 |

Structural model:
Unit cell a=8.331 b=8.331 c=6.057 alpha=90.00 beta=90.00 gamma=123.37
Atoms (fractional coordinates):
Pm: 0.069 0.931 0.500
Pm: 0.931 0.069 0.000
Nd: 0.107 0.386 0.486
Nd: 0.386 0.107 0.986
Nd: 0.427 0.573 0.975
Nd: 0.573 0.427 0.475
Nd: 0.614 0.893 0.486
Nd: 0.893 0.614 0.986
Au: 0.248 0.752 0.249
Au: 0.752 0.248 0.749